Record 1
Nd2Be2SiO7: simulated powder XRD pattern (copper Kα), based on a DFT-relaxed cell (GGA-PBE, Alexandria).
No peak broadening, texture or thermal motion is included.

Top 12 peaks for 2θ from 10° to 90°, in order of falling intensity:
2theta  I_rel
32.28  100
26.51  48
18.08  47
45.79  42
53.66  33
29.95  32
24.70  25
55.11  19
42.25  18
37.85  17
78.89  16
63.24  15

Atomic structure:
Lattice parameters (Å, degrees): 7.517 7.517 4.906 90.00 90.00 90.00
Fractional positions:
Nd1 0.161 0.339 0.494
Nd2 0.339 0.839 0.506
Nd3 0.661 0.161 0.506
Nd4 0.839 0.661 0.494
Be1 0.135 0.635 0.964
Be2 0.365 0.135 0.036
Be3 0.635 0.865 0.036
Be4 0.865 0.365 0.964
Si1 0.000 0.000 0.000
Si2 0.500 0.500 0.000
O1 0.000 0.500 0.830
O2 0.077 0.836 0.810
O3 0.141 0.641 0.288
O4 0.164 0.077 0.190
O5 0.336 0.577 0.810
O6 0.359 0.141 0.712
O7 0.423 0.336 0.190
O8 0.500 0.000 0.170
O9 0.577 0.664 0.190
O10 0.641 0.859 0.712
O11 0.664 0.423 0.810
O12 0.836 0.923 0.190
O13 0.859 0.359 0.288
O14 0.923 0.164 0.810

Record 2
NdY3Co: simulated powder XRD pattern (copper Kα), based on a DFT-relaxed cell (GGA-PBE, Alexandria).
No peak broadening, texture or thermal motion is included.

Top 12 peaks for 2θ from 10° to 90°, in order of falling intensity:
2theta  I_rel
32.92  100
28.59  78
29.91  68
49.43  56
35.81  36
55.39  24
45.48  22
57.69  20
59.19  17
48.97  16
29.28  14
62.13  13

Atomic structure:
Lattice parameters (Å, degrees): 6.243 7.978 6.246 90.00 106.87 90.00
Fractional positions:
Nd1 0.228 0.250 0.271
Nd2 0.772 0.750 0.729
Y1 0.239 0.750 0.262
Y2 0.262 0.000 0.762
Y3 0.262 0.500 0.762
Y4 0.738 0.000 0.238
Y5 0.738 0.500 0.238
Y6 0.761 0.250 0.738
Co1 0.498 0.250 0.003
Co2 0.502 0.750 0.997

Record 3
CsTlAsIr: simulated powder XRD pattern (copper Kα), based on a DFT-relaxed cell (GGA-PBE, Alexandria).
No peak broadening, texture or thermal motion is included.

Top 12 peaks for 2θ from 10° to 90°, in order of falling intensity:
2theta  I_rel
32.64  100
12.34  84
48.91  48
24.83  45
43.08  35
50.36  27
28.29  26
39.40  26
83.22  21
72.37  21
44.98  15
68.86  13

Atomic structure:
Lattice parameters (Å, degrees): 4.200 4.200 14.342 90.00 90.00 90.00
Fractional positions:
Cs1 0.250 0.250 0.242
Cs2 0.750 0.750 0.758
Tl1 0.250 0.750 0.500
Tl2 0.750 0.250 0.500
As1 0.250 0.250 0.906
As2 0.750 0.750 0.094
Ir1 0.250 0.750 0.000
Ir2 0.750 0.250 0.000

Record 4
Ce6Zn2Ir: simulated powder XRD pattern (copper Kα), based on a DFT-relaxed cell (GGA-PBE, Alexandria).
No peak broadening, texture or thermal motion is included.

Top 12 peaks for 2θ from 10° to 90°, in order of falling intensity:
2theta  I_rel
34.66  100
32.26  95
34.82  89
44.89  81
29.45  78
32.05  74
20.73  69
40.09  66
36.82  57
42.18  56
28.25  51
33.03  40

Atomic structure:
Lattice parameters (Å, degrees): 5.932 8.590 9.982 90.00 120.86 90.00
Fractional positions:
Ce1 0.050 0.046 0.195
Ce2 0.050 0.454 0.695
Ce3 0.123 0.702 0.021
Ce4 0.123 0.798 0.521
Ce5 0.334 0.175 0.997
Ce6 0.334 0.325 0.497
Ce7 0.666 0.675 0.503
Ce8 0.666 0.825 0.003
Ce9 0.877 0.202 0.479
Ce10 0.877 0.298 0.979
Ce11 0.950 0.546 0.305
Ce12 0.950 0.954 0.805
Zn1 0.410 0.076 0.736
Zn2 0.410 0.424 0.236
Zn3 0.590 0.576 0.764
Zn4 0.590 0.924 0.264
Ir1 0.500 0.000 0.500
Ir2 0.500 0.500 0.000

Record 5
KTb3Pr2Te6: simulated powder XRD pattern (copper Kα), based on a DFT-relaxed cell (GGA-PBE, Alexandria).
No peak broadening, texture or thermal motion is included.

Top 12 peaks for 2θ from 10° to 90°, in order of falling intensity:
2theta  I_rel
28.02  100
39.74  25
40.35  24
50.18  14
39.35  13
40.76  12
57.93  12
65.12  11
65.98  11
48.47  7
49.51  6
66.57  6

Atomic structure:
Lattice parameters (Å, degrees): 10.121 10.121 9.161 104.24 104.24 25.27
Fractional positions:
K1 0.000 0.000 0.000
Tb1 0.000 0.000 0.500
Tb2 0.336 0.336 0.175
Tb3 0.664 0.664 0.825
Pr1 0.328 0.328 0.652
Pr2 0.672 0.672 0.348
Te1 0.162 0.162 0.592
Te2 0.173 0.173 0.078
Te3 0.500 0.500 0.266
Te4 0.500 0.500 0.734
Te5 0.827 0.827 0.922
Te6 0.838 0.838 0.408

Record 6
TlAuCl: simulated powder XRD pattern (copper Kα), based on a DFT-relaxed cell (GGA-PBE, Alexandria).
No peak broadening, texture or thermal motion is included.

Top 12 peaks for 2θ from 10° to 90°, in order of falling intensity:
2theta  I_rel
29.84  100
42.49  48
42.93  37
16.93  32
24.39  22
53.15  20
70.62  17
78.35  17
61.99  16
46.46  16
69.99  12
58.62  9

Atomic structure:
Lattice parameters (Å, degrees): 4.214 4.214 5.237 90.00 90.00 120.00
Fractional positions:
Tl1 0.000 0.000 0.000
Au1 0.667 0.333 0.277
Cl1 0.333 0.667 0.583

Record 7
La6CeYEr2: simulated powder XRD pattern (copper Kα), based on a DFT-relaxed cell (GGA-PBE, Alexandria).
No peak broadening, texture or thermal motion is included.

Top 12 peaks for 2θ from 10° to 90°, in order of falling intensity:
2theta  I_rel
30.14  100
30.71  59
26.64  46
32.49  42
31.09  42
29.63  38
32.20  36
34.41  27
32.59  26
31.37  24
54.88  24
31.85  23

Atomic structure:
Lattice parameters (Å, degrees): 6.697 6.697 8.961 100.93 100.93 65.14
Fractional positions:
La1 0.103 0.555 0.201
La2 0.132 0.132 0.424
La3 0.445 0.897 0.799
La4 0.555 0.103 0.201
La5 0.868 0.868 0.576
La6 0.897 0.445 0.799
Ce1 0.000 0.000 0.000
Y1 0.500 0.500 0.500
Er1 0.405 0.405 0.839
Er2 0.595 0.595 0.161

Record 8
Ca4SiAg2: simulated powder XRD pattern (copper Kα), based on a DFT-relaxed cell (GGA-PBE, Alexandria).
No peak broadening, texture or thermal motion is included.

Top 12 peaks for 2θ from 10° to 90°, in order of falling intensity:
2theta  I_rel
34.55  100
34.88  98
21.12  75
49.92  33
62.34  32
40.99  27
20.86  26
61.70  16
62.55  16
40.70  14
83.98  13
83.41  13

Atomic structure:
Lattice parameters (Å, degrees): 9.021 9.021 9.021 33.13 33.13 33.13
Fractional positions:
Ca1 0.123 0.123 0.123
Ca2 0.373 0.373 0.373
Ca3 0.627 0.627 0.627
Ca4 0.877 0.877 0.877
Si1 0.000 0.000 0.000
Ag1 0.248 0.248 0.248
Ag2 0.752 0.752 0.752

Record 9
Na2CuHgCl6: simulated powder XRD pattern (copper Kα), based on a DFT-relaxed cell (GGA-PBE, Alexandria).
No peak broadening, texture or thermal motion is included.

Top 12 peaks for 2θ from 10° to 90°, in order of falling intensity:
2theta  I_rel
17.83  100
17.06  57
22.51  36
29.29  35
36.18  29
24.45  25
28.70  24
24.32  24
39.35  22
37.25  21
43.54  17
25.29  17

Atomic structure:
Lattice parameters (Å, degrees): 6.676 6.882 7.152 68.56 63.78 65.64
Fractional positions:
Na1 0.000 0.000 0.000
Na2 0.453 0.546 0.528
Cu1 0.671 0.687 0.949
Hg1 0.171 0.221 0.413
Cl1 0.316 0.620 0.163
Cl2 0.383 0.127 0.647
Cl3 0.590 0.895 0.181
Cl4 0.750 0.449 0.753
Cl5 0.916 0.299 0.227
Cl6 0.997 0.798 0.724

Record 10
SrNd2Ge6: simulated powder XRD pattern (copper Kα), based on a DFT-relaxed cell (GGA-PBE, Alexandria).
No peak broadening, texture or thermal motion is included.

Top 12 peaks for 2θ from 10° to 90°, in order of falling intensity:
2theta  I_rel
31.51  100
40.36  48
60.70  28
52.08  24
67.88  21
43.33  13
89.23  10
72.10  9
73.39  8
22.98  7
86.02  6
87.25  5

Atomic structure:
Lattice parameters (Å, degrees): 7.741 7.741 4.177 90.00 90.00 120.00
Fractional positions:
Sr1 0.000 0.000 0.000
Nd1 0.333 0.667 0.000
Nd2 0.667 0.333 0.000
Ge1 0.000 0.337 0.500
Ge2 0.000 0.663 0.500
Ge3 0.337 0.000 0.500
Ge4 0.337 0.337 0.500
Ge5 0.663 0.000 0.500
Ge6 0.663 0.663 0.500

Record 11
Dy5TmPd2: simulated powder XRD pattern (copper Kα), based on a DFT-relaxed cell (GGA-PBE, Alexandria).
No peak broadening, texture or thermal motion is included.

Top 12 peaks for 2θ from 10° to 90°, in order of falling intensity:
2theta  I_rel
34.89  100
34.70  95
36.81  78
31.33  69
29.34  50
31.53  36
48.32  36
27.61  34
62.25  34
32.87  27
56.89  25
41.94  25

Atomic structure:
Lattice parameters (Å, degrees): 6.829 6.829 18.265 90.00 90.00 147.98
Fractional positions:
Dy1 0.051 0.949 0.750
Dy2 0.170 0.830 0.056
Dy3 0.170 0.830 0.444
Dy4 0.446 0.554 0.087
Dy5 0.446 0.554 0.413
Dy6 0.554 0.446 0.587
Dy7 0.554 0.446 0.913
Dy8 0.830 0.170 0.556
Dy9 0.830 0.170 0.944
Dy10 0.949 0.051 0.250
Tm1 0.222 0.778 0.250
Tm2 0.778 0.222 0.750
Pd1 0.209 0.791 0.638
Pd2 0.209 0.791 0.862
Pd3 0.791 0.209 0.138
Pd4 0.791 0.209 0.362

Record 12
Nd2TcRu3: simulated powder XRD pattern (copper Kα), based on a DFT-relaxed cell (GGA-PBE, Alexandria).
No peak broadening, texture or thermal motion is included.

Top 12 peaks for 2θ from 10° to 90°, in order of falling intensity:
2theta  I_rel
38.73  100
37.16  47
32.03  23
68.04  19
60.49  18
66.98  18
79.17  15
61.60  14
43.17  12
83.09  8
80.14  5
57.09  4

Atomic structure:
Lattice parameters (Å, degrees): 5.589 5.589 8.381 90.00 90.00 120.00
Fractional positions:
Nd1 0.333 0.667 0.063
Nd2 0.333 0.667 0.437
Nd3 0.667 0.333 0.563
Nd4 0.667 0.333 0.937
Tc1 0.000 0.000 0.000
Tc2 0.000 0.000 0.500
Ru1 0.169 0.338 0.750
Ru2 0.169 0.831 0.750
Ru3 0.338 0.169 0.250
Ru4 0.662 0.831 0.750
Ru5 0.831 0.169 0.250
Ru6 0.831 0.662 0.250

Record 13
Pm4SmGe5: simulated powder XRD pattern (copper Kα), based on a DFT-relaxed cell (GGA-PBE, Alexandria).
No peak broadening, texture or thermal motion is included.

Top 12 peaks for 2θ from 10° to 90°, in order of falling intensity:
2theta  I_rel
29.67  100
42.46  75
52.65  27
69.81  23
25.62  20
77.65  17
69.94  11
50.25  10
77.76  8
61.55  8
61.71  4
67.84  4

Atomic structure:
Lattice parameters (Å, degrees): 7.378 7.378 7.378 99.56 99.56 131.91
Fractional positions:
Pm1 0.100 0.300 0.400
Pm2 0.300 0.900 0.200
Pm3 0.700 0.100 0.800
Pm4 0.900 0.700 0.600
Sm1 0.500 0.500 0.000
Ge1 0.000 0.000 0.000
Ge2 0.201 0.600 0.801
Ge3 0.400 0.201 0.601
Ge4 0.600 0.799 0.399
Ge5 0.799 0.400 0.199